For NiH8I2O10, a structure optimized by DFT (GGA+U) gives the calculated XRD peak list in this record (Cu Kα (weighted mean of Kα1 and Kα2)).
No peak broadening, texture or thermal motion is included.

Atomic structure:
a b c (Å): 8.3336 6.5984 8.5279
angles (deg): 90.00 99.15 90.00
Element x y z (fractional)
Ni (0.0000, 0.0000, 0.0000)
Ni (0.0000, 0.5000, 0.5000)
H (0.0068, 0.1248, 0.3038)
H (0.0068, 0.3752, 0.8038)
H (0.1575, 0.5047, 0.2626)
H (0.1575, 0.9953, 0.7626)
H (0.2602, 0.6126, 0.7226)
H (0.2602, 0.8874, 0.2226)
H (0.2703, 0.7193, 0.5542)
H (0.2703, 0.7807, 0.0542)
H (0.7297, 0.2193, 0.9458)
H (0.7297, 0.2807, 0.4458)
H (0.7398, 0.1126, 0.7774)
H (0.7398, 0.3874, 0.2774)
H (0.8425, 0.0047, 0.2374)
H (0.8425, 0.4953, 0.7374)
H (0.9932, 0.6248, 0.1962)
H (0.9932, 0.8752, 0.6962)
I (0.3328, 0.1799, 0.5269)
I (0.3328, 0.3201, 0.0269)
I (0.6672, 0.6799, 0.9731)
I (0.6672, 0.8201, 0.4731)
O (0.0706, 0.5910, 0.2945)
O (0.0706, 0.9090, 0.7945)
O (0.1116, 0.2183, 0.4722)
O (0.1116, 0.2817, 0.9722)
O (0.2358, 0.5944, 0.6059)
O (0.2358, 0.9056, 0.1059)
O (0.3375, 0.5779, 0.9431)
O (0.3375, 0.9221, 0.4431)
O (0.3393, 0.1201, 0.7371)
O (0.3393, 0.3799, 0.2371)
O (0.6607, 0.6201, 0.7629)
O (0.6607, 0.8799, 0.2629)
O (0.6625, 0.0779, 0.5569)
O (0.6625, 0.4221, 0.0569)
O (0.7642, 0.0944, 0.8941)
O (0.7642, 0.4056, 0.3941)
O (0.8884, 0.7183, 0.0278)
O (0.8884, 0.7817, 0.5278)
O (0.9294, 0.0910, 0.2055)
O (0.9294, 0.4090, 0.7055)

Largest 6 diffraction maxima, sorted by position, 2θ from 10° to 90°:
d_spacing, two_theta, I (rel.), hkl
5.147, 17.2, 84, 1 1 0
4.209, 21.1, 100, 0 0 2
3.491, 25.5, 31, 2 1 0
3.430, 26.0, 43, 1 1 -2
2.934, 30.5, 37, 1 2 -1
2.742, 32.7, 32, 3 0 0